[1]
# Np3PS3
Theoretical powder diffraction line list, CuKα. Input: a crystal structure in Alexandria, relaxed with PBE.
Intensities are scaled so that the largest is 100.

Peak list (6 most intense, 5 to 70 degrees two-theta, in order of rising 2θ)
2θ (°)	I/Imax
16.1	41
22.8	39
28.0	88
32.5	100
46.6	74
55.2	45

Atomic structure:
```
Np3PS3
1.0
5.515 0.000 0.000
0.000 5.515 0.000
0.000 0.000 5.515
Np P S
3 1 3
Direct
0.000 0.000 0.500
0.000 0.500 0.000
0.500 0.000 0.000
0.000 0.000 0.000
0.000 0.500 0.500
0.500 0.000 0.500
0.500 0.500 0.000
```

=====

[2]
# NpP3S9
Theoretical powder diffraction line list, CuKα. Input: a crystal structure in Alexandria, relaxed with PBE.
Intensities are scaled so that the largest is 100.

Peak list (6 most intense, 5 to 70 degrees two-theta, in order of rising 2θ)
2θ (°)	I/Imax
13.1	73
14.9	36
18.4	100
18.9	45
25.0	32
30.1	40

Atomic structure:
```
NpP3S9
1.0
8.743 -4.115 0.000
8.743 4.115 0.000
-7.666 0.000 9.085
Np P S
2 6 18
Direct
0.237 0.763 0.500
0.763 0.237 0.000
0.070 0.254 0.844
0.254 0.070 0.344
0.276 0.454 0.686
0.454 0.276 0.186
0.657 0.837 0.223
0.837 0.657 0.723
0.072 0.276 0.253
0.128 0.953 0.330
0.172 0.435 0.057
0.276 0.072 0.753
0.318 0.648 0.706
0.371 0.438 0.882
0.435 0.172 0.557
0.438 0.371 0.382
0.460 0.819 0.242
0.508 0.983 0.072
0.575 0.765 0.580
0.648 0.318 0.206
0.765 0.575 0.080
0.819 0.460 0.742
0.835 0.926 0.420
0.926 0.835 0.920
0.953 0.128 0.830
0.983 0.508 0.572
```

=====

[3]
# Np3P2S
Theoretical powder diffraction line list, CuKα. Input: a crystal structure in Alexandria, relaxed with PBE.
Intensities are scaled so that the largest is 100.

Peak list (6 most intense, 5 to 70 degrees two-theta, in order of rising 2θ)
2θ (°)	I/Imax
27.7	100
32.1	91
46.0	68
54.5	50
57.1	24
67.0	11

Atomic structure:
```
Np3P2S
1.0
-1.974 1.974 8.381
1.974 -1.974 8.381
1.974 1.974 -8.381
Np P S
3 2 1
Direct
0.000 0.000 0.000
0.333 0.333 0.000
0.667 0.667 0.000
0.166 0.166 0.000
0.834 0.834 0.000
0.500 0.500 0.000
```

=====

[4]
# NpSc4P5
Theoretical powder diffraction line list, CuKα. Input: a crystal structure in Alexandria, relaxed with PBE.
Intensities are scaled so that the largest is 100.

Peak list (6 most intense, 5 to 70 degrees two-theta, in order of rising 2θ)
2θ (°)	I/Imax
9.3	57
17.1	34
21.7	21
28.8	40
33.4	100
47.9	58

Atomic structure:
```
NpSc4P5
1.0
-1.895 2.688 9.500
1.895 -2.688 9.500
1.895 2.688 -9.500
Np Sc P
1 4 5
Direct
0.000 0.000 0.000
0.203 0.203 0.000
0.397 0.397 0.000
0.603 0.603 0.000
0.797 0.797 0.000
0.103 0.603 0.500
0.300 0.800 0.500
0.500 0.000 0.500
0.700 0.200 0.500
0.897 0.397 0.500
```

=====

[5]
# Np2ScP3
Theoretical powder diffraction line list, CuKα. Input: a crystal structure in Alexandria, relaxed with PBE.
Intensities are scaled so that the largest is 100.

Peak list (6 most intense, 5 to 70 degrees two-theta, in order of rising 2θ)
2θ (°)	I/Imax
14.5	30
28.1	91
32.6	100
46.7	73
55.4	45
58.1	26

Atomic structure:
```
Np2ScP3
1.0
0.000 5.503 11.674
3.888 0.000 11.674
3.888 5.503 0.000
Np Sc P
8 4 12
Direct
0.042 0.042 0.208
0.125 0.125 0.625
0.208 0.208 0.042
0.375 0.375 0.875
0.625 0.625 0.125
0.792 0.792 0.958
0.875 0.875 0.375
0.958 0.958 0.792
0.291 0.291 0.459
0.459 0.459 0.291
0.541 0.541 0.709
0.709 0.709 0.541
0.040 0.541 0.217
0.133 0.617 0.617
0.217 0.702 0.040
0.298 0.783 0.459
0.383 0.867 0.867
0.459 0.960 0.298
0.541 0.040 0.702
0.617 0.133 0.133
0.702 0.217 0.541
0.783 0.298 0.960
0.867 0.383 0.383
0.960 0.459 0.783
```

=====

[6]
# Np3ScP4
Theoretical powder diffraction line list, CuKα. Input: a crystal structure in Alexandria, relaxed with PBE.
Intensities are scaled so that the largest is 100.

Peak list (6 most intense, 5 to 70 degrees two-theta, in order of rising 2θ)
2θ (°)	I/Imax
17.9	12
27.9	97
32.4	100
46.4	73
55.1	48
57.7	26

Atomic structure:
```
Np3ScP4
1.0
6.780 0.000 0.000
0.000 7.818 0.000
-2.267 0.000 6.383
Np Sc P
6 2 8
Direct
0.000 0.124 0.250
0.000 0.373 0.750
0.000 0.627 0.250
0.000 0.876 0.750
0.500 0.373 0.250
0.500 0.627 0.750
0.500 0.123 0.750
0.500 0.877 0.250
0.255 0.372 0.504
0.255 0.628 0.004
0.257 0.121 0.001
0.257 0.879 0.501
0.743 0.121 0.499
0.743 0.879 0.999
0.745 0.372 0.996
0.745 0.628 0.496
```